No. 1
# CuCl5
Simulated powder X-ray diffraction pattern, Cu Ka. Input: a PBE-relaxed structure.
Peak positions follow from Bragg's law for the DFT cell and can differ from measured ones.

Structure:
Unit cell a=3.2689 b=6.3648 c=8.5800 alpha=78.36 beta=89.99 gamma=89.07
Element x y z (fractional)
1 Cu 0.0000 0.0000 0.0000
2 Cl 0.9996 0.7509 0.7184
3 Cl 0.4929 0.2156 0.8773
4 Cl 0.5064 0.7791 0.1163
5 Cl 0.9849 0.2403 0.2671
6 Cl 0.9920 0.9945 0.4939

Top 10 peaks for 2θ from 5° to 70°, sorted by position:
- 10.53 deg, intensity 68
- 14.21 deg, intensity 100
- 23.02 deg, intensity 84
- 27.29 deg, intensity 15
- 32.12 deg, intensity 34
- 32.29 deg, intensity 18
- 33.45 deg, intensity 15
- 33.91 deg, intensity 16
- 39.64 deg, intensity 16
- 51.79 deg, intensity 20

---

No. 2
# Na3Sr6Cd
Simulated powder X-ray diffraction pattern, Cu Ka. Input: a PBE-relaxed structure.
Peak positions follow from Bragg's law for the DFT cell and can differ from measured ones.

Structure:
Unit cell a=10.7275 b=6.3145 c=14.1384 alpha=90.00 beta=109.76 gamma=90.00
Element x y z (fractional)
1 Na 0.0212 0.2500 0.3813
2 Na 0.0898 0.7500 0.2330
3 Na 0.2638 0.2500 0.9660
4 Na 0.7362 0.7500 0.0340
5 Na 0.9102 0.2500 0.7670
6 Na 0.9788 0.7500 0.6187
7 Sr 0.0124 0.7500 0.9070
8 Sr 0.1947 0.2500 0.6696
9 Sr 0.2777 0.7500 0.5085
10 Sr 0.3539 0.2500 0.3322
11 Sr 0.3763 0.7500 0.8458
12 Sr 0.3785 0.7500 0.1481
13 Sr 0.6215 0.2500 0.8519
14 Sr 0.6237 0.2500 0.1542
15 Sr 0.6461 0.7500 0.6678
16 Sr 0.7223 0.2500 0.4915
17 Sr 0.8053 0.7500 0.3304
18 Sr 0.9876 0.2500 0.0930
19 Cd 0.4665 0.2500 0.5952
20 Cd 0.5335 0.7500 0.4048

Top 10 peaks for 2θ from 5° to 70°, sorted by position:
- 6.64 deg, intensity 14
- 8.76 deg, intensity 23
- 19.36 deg, intensity 12
- 25.97 deg, intensity 11
- 26.65 deg, intensity 14
- 28.31 deg, intensity 100
- 28.78 deg, intensity 38
- 29.04 deg, intensity 15
- 30.23 deg, intensity 11
- 50.08 deg, intensity 13

---

No. 3
# Sm2MgZn9
Simulated powder X-ray diffraction pattern, Cu Ka. Input: a PBE-relaxed structure.
Peak positions follow from Bragg's law for the DFT cell and can differ from measured ones.

Structure:
Unit cell a=9.1230 b=9.1230 c=9.1230 alpha=35.11 beta=35.11 gamma=35.11
Element x y z (fractional)
1 Sm 0.1396 0.1396 0.1396
2 Sm 0.8604 0.8604 0.8604
3 Mg 0.0000 0.0000 0.0000
4 Zn 0.0774 0.5841 0.5841
5 Zn 0.3347 0.3347 0.3347
6 Zn 0.4159 0.4159 0.9226
7 Zn 0.4159 0.9226 0.4159
8 Zn 0.5000 0.5000 0.5000
9 Zn 0.5841 0.0774 0.5841
10 Zn 0.5841 0.5841 0.0774
11 Zn 0.6653 0.6653 0.6653
12 Zn 0.9226 0.4159 0.4159

Top 10 peaks for 2θ from 5° to 70°, sorted by position:
- 10.34 deg, intensity 30
- 30.77 deg, intensity 28
- 32.54 deg, intensity 44
- 33.68 deg, intensity 30
- 37.92 deg, intensity 37
- 38.92 deg, intensity 100
- 40.37 deg, intensity 33
- 41.79 deg, intensity 45
- 43.18 deg, intensity 33
- 68.15 deg, intensity 29

---

No. 4
# LaNb2CuBrO7
Simulated powder X-ray diffraction pattern, Cu Ka. Input: a PBE-relaxed structure.
Peak positions follow from Bragg's law for the DFT cell and can differ from measured ones.

Structure:
Unit cell a=7.8872 b=7.9193 c=11.8260 alpha=90.00 beta=90.00 gamma=90.00
Element x y z (fractional)
1 La 0.9999 0.2376 0.0000
2 La 0.0001 0.7624 0.0000
3 La 0.4999 0.2624 0.0000
4 La 0.5001 0.7376 0.0000
5 Nb 0.2480 0.5004 0.1904
6 Nb 0.2480 0.5004 0.8096
7 Nb 0.2520 0.0004 0.1904
8 Nb 0.2520 0.0004 0.8096
9 Nb 0.7480 0.9996 0.1904
10 Nb 0.7480 0.9996 0.8096
11 Nb 0.7520 0.4996 0.1904
12 Nb 0.7520 0.4996 0.8096
13 Cu 0.2277 0.4973 0.5000
14 Cu 0.2723 0.9973 0.5000
15 Cu 0.7277 0.0027 0.5000
16 Cu 0.7723 0.5027 0.5000
17 Br 0.0494 0.2303 0.5000
18 Br 0.4506 0.7303 0.5000
19 Br 0.5494 0.2697 0.5000
20 Br 0.9506 0.7697 0.5000
21 O 0.0000 0.0000 0.1830
22 O 0.0000 0.0000 0.8170
23 O 0.0000 0.5000 0.1337
24 O 0.0000 0.5000 0.8663
25 O 0.2011 0.0002 0.0000
26 O 0.2195 0.5008 0.3420
27 O 0.2195 0.5008 0.6580
28 O 0.2501 0.2502 0.1522
29 O 0.2501 0.2502 0.8478
30 O 0.2499 0.7502 0.1522
31 O 0.2499 0.7502 0.8478
32 O 0.2805 0.0008 0.3420
33 O 0.2805 0.0008 0.6580
34 O 0.2989 0.5002 0.0000
35 O 0.5000 0.0000 0.1337
36 O 0.5000 0.0000 0.8663
37 O 0.5000 0.5000 0.1830
38 O 0.5000 0.5000 0.8170
39 O 0.7011 0.4998 0.0000
40 O 0.7195 0.9992 0.3420
41 O 0.7195 0.9992 0.6580
42 O 0.7501 0.2498 0.1522
43 O 0.7501 0.2498 0.8478
44 O 0.7499 0.7498 0.1522
45 O 0.7499 0.7498 0.8478
46 O 0.7805 0.4992 0.3420
47 O 0.7805 0.4992 0.6580
48 O 0.7989 0.9998 0.0000

Top 10 peaks for 2θ from 5° to 70°, sorted by position:
- 7.48 deg, intensity 40
- 14.98 deg, intensity 15
- 22.56 deg, intensity 16
- 27.14 deg, intensity 75
- 30.23 deg, intensity 11
- 32.05 deg, intensity 100
- 44.62 deg, intensity 25
- 45.83 deg, intensity 18
- 46.04 deg, intensity 28
- 57.19 deg, intensity 29

---

No. 5
# Fe2Ir
Simulated powder X-ray diffraction pattern, Cu Ka. Input: a PBE-relaxed structure.
Peak positions follow from Bragg's law for the DFT cell and can differ from measured ones.

Structure:
Unit cell a=9.1596 b=2.8450 c=6.2616 alpha=90.00 beta=110.28 gamma=90.00
Element x y z (fractional)
1 Fe 0.0097 0.0000 0.2347
2 Fe 0.1648 0.5000 0.0689
3 Fe 0.3352 0.0000 0.9311
4 Fe 0.4903 0.5000 0.7653
5 Fe 0.5097 0.5000 0.2347
6 Fe 0.6648 0.0000 0.0689
7 Fe 0.8352 0.5000 0.9311
8 Fe 0.9903 0.0000 0.7653
9 Ir 0.1601 0.5000 0.5951
10 Ir 0.3399 0.0000 0.4049
11 Ir 0.6601 0.0000 0.5951
12 Ir 0.8399 0.5000 0.4049

Top 10 peaks for 2θ from 5° to 70°, sorted by position:
- 15.08 deg, intensity 43
- 29.72 deg, intensity 13
- 35.02 deg, intensity 23
- 39.36 deg, intensity 11
- 42.68 deg, intensity 32
- 42.94 deg, intensity 100
- 43.68 deg, intensity 14
- 44.91 deg, intensity 59
- 59.01 deg, intensity 11
- 65.63 deg, intensity 9

---

No. 6
# Sm2Zn3Au2
Simulated powder X-ray diffraction pattern, Cu Ka. Input: a PBE-relaxed structure.
Peak positions follow from Bragg's law for the DFT cell and can differ from measured ones.

Structure:
Unit cell a=10.1093 b=4.5799 c=6.7072 alpha=90.00 beta=110.51 gamma=90.00
Element x y z (fractional)
1 Sm 0.1490 0.0000 0.2672
2 Sm 0.3510 0.5000 0.7328
3 Sm 0.6490 0.5000 0.2672
4 Sm 0.8510 0.0000 0.7328
5 Zn 0.0000 0.5000 0.5000
6 Zn 0.0993 0.5000 0.9211
7 Zn 0.4007 0.0000 0.0789
8 Zn 0.5000 0.0000 0.5000
9 Zn 0.5993 0.0000 0.9211
10 Zn 0.9007 0.5000 0.0789
11 Au 0.1517 0.0000 0.7308
12 Au 0.3483 0.5000 0.2692
13 Au 0.6517 0.5000 0.7308
14 Au 0.8483 0.0000 0.2692

Top 10 peaks for 2θ from 5° to 70°, sorted by position:
- 21.55 deg, intensity 28
- 28.42 deg, intensity 43
- 33.11 deg, intensity 40
- 34.51 deg, intensity 90
- 38.04 deg, intensity 100
- 38.59 deg, intensity 54
- 39.35 deg, intensity 54
- 49.26 deg, intensity 25
- 55.86 deg, intensity 17
- 68.29 deg, intensity 28

---

No. 7
# MgTcPt
Simulated powder X-ray diffraction pattern, Cu Ka. Input: a PBE-relaxed structure.
Peak positions follow from Bragg's law for the DFT cell and can differ from measured ones.

Structure:
Unit cell a=2.8029 b=2.8029 c=12.0907 alpha=90.00 beta=90.00 gamma=90.00
Element x y z (fractional)
1 Mg 0.0000 0.0000 0.0000
2 Mg 0.5000 0.5000 0.5000
3 Tc 0.0000 0.0000 0.6783
4 Tc 0.5000 0.5000 0.1783
5 Pt 0.0000 0.0000 0.3303
6 Pt 0.5000 0.5000 0.8303

Top 10 peaks for 2θ from 5° to 70°, sorted by position:
- 14.65 deg, intensity 71
- 29.55 deg, intensity 6
- 32.80 deg, intensity 29
- 39.15 deg, intensity 100
- 44.99 deg, intensity 16
- 45.78 deg, intensity 33
- 48.33 deg, intensity 15
- 49.80 deg, intensity 18
- 66.13 deg, intensity 20
- 66.75 deg, intensity 11

---

No. 8
# Na3TlBr4
Simulated powder X-ray diffraction pattern, Cu Ka. Input: a PBE-relaxed structure.
Peak positions follow from Bragg's law for the DFT cell and can differ from measured ones.

Structure:
Unit cell a=6.3290 b=10.4840 c=8.9457 alpha=90.00 beta=90.00 gamma=90.00
Element x y z (fractional)
1 Na 0.2500 0.0014 0.1659
2 Na 0.2500 0.2500 0.6759
3 Na 0.2500 0.4986 0.1659
4 Na 0.7500 0.5014 0.8341
5 Na 0.7500 0.7500 0.3241
6 Na 0.7500 0.9986 0.8341
7 Tl 0.2500 0.7500 0.6652
8 Tl 0.7500 0.2500 0.3348
9 Br 0.2500 0.0177 0.8443
10 Br 0.2500 0.2500 0.3396
11 Br 0.2500 0.4823 0.8443
12 Br 0.2500 0.7500 0.3029
13 Br 0.7500 0.2500 0.6971
14 Br 0.7500 0.5177 0.1557
15 Br 0.7500 0.7500 0.6604
16 Br 0.7500 0.9823 0.1557

Top 10 peaks for 2θ from 5° to 70°, sorted by position:
- 13.01 deg, intensity 31
- 16.36 deg, intensity 29
- 19.63 deg, intensity 73
- 19.85 deg, intensity 35
- 21.60 deg, intensity 24
- 28.20 deg, intensity 61
- 34.21 deg, intensity 34
- 34.60 deg, intensity 100
- 44.91 deg, intensity 33
- 45.22 deg, intensity 61